Starting from the PBE+U geometry in the Materials Project, the powder X-ray diffraction pattern of LiCr2P2O8 was simulated for CuKα.
No peak broadening, texture or thermal motion is included.

Top 10 peaks for 2θ = 5–70°, low angle first:
h k l, 2θ (°), intensity
0 0 1, 9.68, 913
0 1 0, 14.11, 1000
0 1 -1, 17.46, 290
1 1 0, 19.09, 661
1 0 -2, 27.73, 331
0 0 3, 29.32, 454
2 1 1, 30.18, 497
2 0 2, 31.15, 174
-1 1 2, 31.90, 197
0 2 -2, 35.33, 187

Atomic structure:
a = 6.244 Å, b = 6.364 Å, c = 9.536 Å
α = 85.23°, β = 73.54°, γ = 80.72°
Space group P-1 (No. 2)
Symmetry-distinct sites (fractional):
Li1 0.172 0.426 0.328 (multiplicity 2)
Cr1 0.165 0.808 0.047 (multiplicity 2)
Cr2 0.433 0.983 0.285 (multiplicity 2)
P1 0.226 0.175 0.614 (multiplicity 2)
P2 0.310 0.279 0.013 (multiplicity 2)
O1 0.008 0.706 0.310 (multiplicity 2)
O2 0.132 0.136 0.008 (multiplicity 2)
O3 0.230 0.154 0.451 (multiplicity 2)
O4 0.239 0.509 0.978 (multiplicity 2)
O5 0.279 0.953 0.694 (multiplicity 2)
O6 0.348 0.248 0.168 (multiplicity 2)
O7 0.434 0.278 0.621 (multiplicity 2)
O8 0.465 0.812 0.102 (multiplicity 2)



Starting from the PBE+U geometry in the Materials Project, the powder X-ray diffraction pattern of LiCrPO4 was simulated for CuKα.
No peak broadening, texture or thermal motion is included.

Top 10 peaks for 2θ = 5–70°, low angle first:
h k l, 2θ (°), intensity
1 0 0, 13.41, 327
0 0 2, 18.62, 459
1 1 0, 23.33, 677
2 0 0, 27.01, 446
2 -1 2, 30.02, 785
1 0 3, 31.25, 547
2 0 2, 33.01, 1000
3 0 1, 42.14, 263
2 0 4, 47.03, 249
4 1 0, 64.69, 265

Atomic structure:
a = 7.6246 Å, b = 7.6246 Å, c = 9.5301 Å
α = 90.00°, β = 90.00°, γ = 120.00°
Space group P31c (No. 159)
Symmetry-distinct sites (fractional):
Li1 0.0406 0.2477 0.0000 (multiplicity 6)
Cr1 0.0530 0.5839 0.2188 (multiplicity 6)
P1 0.0000 0.0000 0.2488 (multiplicity 2)
P2 0.3333 0.6667 0.5178 (multiplicity 2)
P3 0.3333 0.6667 0.9208 (multiplicity 2)
O1 0.0000 0.0000 0.4116 (multiplicity 2)
O2 0.1086 0.8869 0.1934 (multiplicity 6)
O3 0.1274 0.4927 0.5689 (multiplicity 6)
O4 0.1614 0.7040 0.8733 (multiplicity 6)
O5 0.3333 0.6667 0.0903 (multiplicity 2)
O6 0.3333 0.6667 0.3527 (multiplicity 2)



Starting from the PBE+U geometry in the Materials Project, the powder X-ray diffraction pattern of LiCrPO4 was simulated for CuKα.
No peak broadening, texture or thermal motion is included.

Top 10 peaks for 2θ = 5–70°, low angle first:
h k l, 2θ (°), intensity
1 0 -1, 13.91, 431
1 0 1, 15.93, 411
0 1 1, 19.85, 1000
0 0 2, 20.19, 541
2 0 0, 22.18, 616
2 0 -2, 28.08, 186
1 1 2, 29.90, 210
2 1 1, 30.97, 237
0 2 0, 34.54, 179
0 1 3, 35.15, 276

Atomic structure:
a = 8.088 Å, b = 5.194 Å, c = 8.876 Å
α = 90.00°, β = 97.74°, γ = 90.00°
Space group P2_1 (No. 4)
Symmetry-distinct sites (fractional):
Li1 0.019 0.000 0.375 (multiplicity 2)
Li2 0.430 0.693 0.804 (multiplicity 2)
Cr1 0.176 0.649 0.091 (multiplicity 2)
Cr2 0.376 0.102 0.563 (multiplicity 2)
P1 0.209 0.189 0.881 (multiplicity 2)
P2 0.265 0.551 0.439 (multiplicity 2)
O1 0.030 0.258 0.803 (multiplicity 2)
O2 0.129 0.374 0.483 (multiplicity 2)
O3 0.194 0.023 0.022 (multiplicity 2)
O4 0.225 0.838 0.448 (multiplicity 2)
O5 0.302 0.449 0.930 (multiplicity 2)
O6 0.308 0.036 0.773 (multiplicity 2)
O7 0.317 0.478 0.282 (multiplicity 2)
O8 0.428 0.508 0.565 (multiplicity 2)